Simulated X-ray diffraction stick pattern
Compound: Li2VSi3O9
Radiation: λ = 1.5418 Å (Cu Kα)
Structure: DFT lattice parameters and positions (PBE+U)
Lines closer than 0.1° are merged.

Main lines, in order of rising 2θ (2θ = 10–80°):
d_spacing	two_theta	I_rel
6.042	14.7	647
5.530	16.0	370
5.303	16.7	1000
4.508	19.7	116
4.081	21.8	155
3.021	29.6	114
2.914	30.7	118
2.651	33.8	168

Atomic structure:
Cell lengths 7.780, 9.591, 11.060 Å; angles 90.00, 90.00, 90.00 degrees
Sites, in units of the cell vectors:
Li (0.059, 0.182, 0.090)
Li (0.131, 0.873, 0.975)
Li (0.369, 0.127, 0.475)
Li (0.441, 0.818, 0.590)
Li (0.559, 0.318, 0.910)
Li (0.631, 0.627, 0.025)
Li (0.869, 0.373, 0.525)
Li (0.941, 0.682, 0.410)
V (0.215, 0.943, 0.229)
V (0.285, 0.057, 0.729)
V (0.715, 0.557, 0.771)
V (0.785, 0.443, 0.271)
Si (0.040, 0.324, 0.758)
Si (0.074, 0.931, 0.500)
Si (0.101, 0.633, 0.162)
Si (0.399, 0.367, 0.662)
Si (0.426, 0.069, 0.000)
Si (0.460, 0.676, 0.258)
Si (0.540, 0.176, 0.242)
Si (0.574, 0.569, 0.500)
Si (0.601, 0.867, 0.838)
Si (0.899, 0.133, 0.338)
Si (0.926, 0.431, 0.000)
Si (0.960, 0.824, 0.742)
O (0.031, 0.076, 0.236)
O (0.033, 0.326, 0.909)
O (0.051, 0.564, 0.030)
O (0.084, 0.159, 0.728)
O (0.094, 0.801, 0.136)
O (0.112, 0.848, 0.374)
O (0.133, 0.888, 0.801)
O (0.205, 0.413, 0.704)
O (0.243, 0.027, 0.062)
O (0.257, 0.973, 0.562)
O (0.295, 0.587, 0.204)
O (0.367, 0.112, 0.301)
O (0.388, 0.152, 0.874)
O (0.406, 0.199, 0.636)
O (0.416, 0.841, 0.228)
O (0.449, 0.436, 0.530)
O (0.467, 0.674, 0.409)
O (0.469, 0.924, 0.736)
O (0.531, 0.424, 0.764)
O (0.533, 0.174, 0.091)
O (0.551, 0.936, 0.970)
O (0.584, 0.341, 0.272)
O (0.594, 0.699, 0.864)
O (0.612, 0.652, 0.626)
O (0.633, 0.612, 0.199)
O (0.705, 0.087, 0.296)
O (0.743, 0.473, 0.938)
O (0.757, 0.527, 0.438)
O (0.795, 0.913, 0.796)
O (0.867, 0.388, 0.699)
O (0.888, 0.348, 0.126)
O (0.906, 0.301, 0.364)
O (0.916, 0.659, 0.772)
O (0.949, 0.064, 0.470)
O (0.967, 0.826, 0.591)
O (0.969, 0.576, 0.264)